Structure and simulated PXRD pattern of Rb2HgB9Se9 (a DFT-relaxed cell (PBE, the Materials Project); Cu Kα (weighted mean of Kα1 and Kα2)).
Kinematic intensities with the Lorentz-polarization factor, no thermal factor.

Structural model:
```
data_Rb2HgB9Se9
_chemical_formula_sum 'Rb4 Hg2 B18 Se18'
_cell_length_a 9.9743
_cell_length_b 10.7511
_cell_length_c 11.3184
_cell_angle_alpha 100.14
_cell_angle_beta 90.63
_cell_angle_gamma 116.29
_space_group_name_H-M_alt 'P -1'
_space_group_IT_number 2
loop_
_space_group_symop_operation_xyz
'x,y,z'
'-x,-y,-z'
loop_
_atom_site_label
_atom_site_type_symbol
_atom_site_fract_x
_atom_site_fract_y
_atom_site_fract_z
Rb1 Rb 0.1755 0.3442 0.0042
Rb2 Rb 0.2085 0.8256 0.4984
Hg1 Hg 0.3253 0.3185 0.5747
B1 B 0.2488 0.5851 0.7860
B2 B 0.2514 0.0868 0.2795
B3 B 0.3379 0.8800 0.9136
B4 B 0.3391 0.0083 0.0386
B5 B 0.3788 0.8680 0.0639
B6 B 0.4235 0.0640 0.9063
B7 B 0.4300 0.7156 0.2393
B8 B 0.4843 0.8367 0.9482
B9 B 0.4861 0.0421 0.1480
Se1 Se 0.1299 0.1218 0.4010
Se2 Se 0.1311 0.3988 0.6861
Se3 Se 0.1611 0.7202 0.8058
Se4 Se 0.1634 0.0285 0.1096
Se5 Se 0.2560 0.7128 0.1521
Se6 Se 0.3632 0.1570 0.7901
Se7 Se 0.3920 0.5932 0.3555
Se8 Se 0.4436 0.6376 0.8732
Se9 Se 0.4473 0.0947 0.3193
```

Top 12 peaks for 2θ = 10–90°, most intense first:
| (hkl) | 2theta | d [Å] | Rel. int. |
| --- | --- | --- | --- |
| -2 2 2 | 27.1 | 3.294 | 100 |
| 1 -3 2 | 27.5 | 3.246 | 98 |
| 0 2 -2 | 22.1 | 4.016 | 93 |
| -1 2 2 | 25.2 | 3.538 | 65 |
| 0 2 -1 | 18.9 | 4.706 | 63 |
| 1 -1 1 | 12.3 | 7.176 | 62 |
| -3 1 1 | 28.0 | 3.184 | 58 |
| 1 1 3 | 31.7 | 2.821 | 58 |
| -3 3 1 | 32.5 | 2.759 | 50 |
| 2 -1 3 | 30.2 | 2.960 | 48 |
| 2 0 -3 | 29.8 | 2.995 | 44 |
| 2 1 1 | 28.1 | 3.172 | 42 |